Computed powder diffraction line list
Compound: ScV2HO6
Radiation: Cu Kα (weighted mean of Kα1 and Kα2)
Structure: a structure optimized by DFT (PBE+U)
Kinematic intensities with the Lorentz-polarization factor, no thermal factor.

Atomic structure:
Lattice parameters (Å, degrees): 5.414 6.357 7.498 81.98 83.43 85.42
Space group P-1 (No. 2)
Unique sites:
Sc 0.242 0.390 0.082
V 0.240 0.435 0.600
V 0.299 0.831 0.249
H 0.478 0.767 0.631
O 0.093 0.462 0.840
O 0.104 0.687 0.434
O 0.172 0.079 0.181
O 0.395 0.693 0.059
O 0.424 0.145 0.668
O 0.453 0.382 0.351

Largest 10 diffraction maxima, sorted by position, 2θ = 10–90°:
two_theta, I/Imax, (hkl)
14.10, 100, 0 1 0
17.29, 39, 0 1 1
19.40, 20, 1 0 1
21.46, 21, 1 0 -1
22.42, 24, 1 1 1
26.34, 53, 0 1 2
30.80, 31, 1 0 -2
32.07, 39, 1 2 0
33.34, 51, 1 -1 2
36.86, 22, 1 -2 1